# 1
This entry pairs a crystal structure of Cs3CaNb2O8 with its calculated powder X-ray diffraction pattern. Radiation: a wavelength of 1.5418 Å. Structure: a cell relaxed with GGA-PBE.

Most intense lines, 2θ = 15–90°, in order of falling intensity:
- d = 3.233 Å, I 100
- d = 3.373 Å, I 75
- d = 2.334 Å, I 38
- d = 1.892 Å, I 28
- d = 1.617 Å, I 23
- d = 1.867 Å, I 20
- d = 2.124 Å, I 18
- d = 1.769 Å, I 17
- d = 4.668 Å, I 16
- d = 2.817 Å, I 13

Structural model:
```
Cs3CaNb2O8
1.0
6.4660 0.0000 0.0000
-3.2330 5.5997 0.0000
0.0000 0.0000 8.4518
Cs Ca Nb O
3 1 2 8
Cartesian
0.0000 0.0000 0.0000
0.0000 3.7331 5.8820
3.2330 1.8666 2.5698
0.0000 0.0000 4.2259
0.0000 3.7331 2.1961
3.2330 1.8666 6.2557
0.0000 1.9509 2.8202
-1.5435 4.6243 2.8202
0.0000 3.7331 0.3346
1.6895 0.9754 5.6316
1.5435 4.6243 2.8202
3.2330 1.8666 8.1172
4.7765 0.9754 5.6316
3.2330 3.6488 5.6316
```

# 2
This entry pairs a crystal structure of Cs2CaNbSe4 with its calculated powder X-ray diffraction pattern. Radiation: a wavelength of 1.5418 Å. Structure: a cell relaxed with GGA-PBE.

Most intense lines, 2θ = 15–90°, in order of falling intensity:
- d = 3.657 Å, I 100
- d = 3.208 Å, I 48
- d = 3.838 Å, I 42
- d = 2.665 Å, I 41
- d = 5.024 Å, I 26
- d = 2.005 Å, I 25
- d = 2.082 Å, I 24
- d = 3.041 Å, I 20
- d = 1.831 Å, I 20
- d = 3.344 Å, I 20

Structural model:
```
Cs2CaNbSe4
1.0
0.0000 7.5402 13.3775
3.3227 0.0000 13.3775
3.3227 7.5402 0.0000
Cs Ca Nb Se
4 2 2 8
Cartesian
2.4920 5.6551 1.4463
4.1534 9.4252 8.1350
2.4920 5.6551 18.6200
4.1534 9.4252 25.3088
0.8307 1.8850 3.3444
5.8148 13.1953 23.4106
2.4920 5.6551 10.0331
4.1534 9.4252 16.7219
3.8818 4.1586 8.6138
3.8818 7.1517 11.4524
5.5432 7.9287 18.1412
5.5432 10.9218 15.3026
1.1023 4.1586 11.4524
1.1023 7.1517 8.6138
2.7636 7.9287 15.3026
2.7636 10.9218 18.1412
```

# 3
This entry pairs a crystal structure of Cs2CaNp2O7 with its calculated powder X-ray diffraction pattern. Radiation: a wavelength of 1.5418 Å. Structure: a cell relaxed with GGA-PBE.

Most intense lines, 2θ = 15–90°, in order of falling intensity:
- d = 3.211 Å, I 100
- d = 3.074 Å, I 54
- d = 1.800 Å, I 39
- d = 4.277 Å, I 36
- d = 2.174 Å, I 28
- d = 1.883 Å, I 17
- d = 1.333 Å, I 13
- d = 1.688 Å, I 13
- d = 1.938 Å, I 12
- d = 1.605 Å, I 10

Structural model:
```
Cs2CaNp2O7
1.0
-2.1737 2.1737 11.9059
2.1737 -2.1737 11.9059
2.1737 2.1737 -11.9059
Cs Ca Np O
2 1 2 7
Cartesian
0.0000 0.0000 4.5433
0.0000 0.0000 19.2686
0.0000 0.0000 0.0000
0.0000 0.0000 9.8161
0.0000 0.0000 13.9958
2.1737 0.0000 1.8116
0.0000 0.0000 7.8189
2.1737 0.0000 10.0943
0.0000 0.0000 11.9059
0.0000 2.1737 1.8116
0.0000 0.0000 15.9929
0.0000 2.1737 10.0943
```